The following is a simulated powder X-ray diffraction pattern of Dy3VO7. It was derived from the PBE+U geometry in Alexandria, using a wavelength of 1.5418 Å.
Peak positions follow from Bragg's law for the DFT cell and can differ from measured ones.

Cell and atoms:
```
data_Dy3VO7
_chemical_formula_sum 'Dy12 V4 O28'
_cell_length_a 7.5319
_cell_length_b 10.3808
_cell_length_c 7.3168
_cell_angle_alpha 90.00
_cell_angle_beta 90.00
_cell_angle_gamma 90.00
_space_group_name_H-M_alt 'C 2 2 21'
_space_group_IT_number 20
loop_
_space_group_symop_operation_xyz
'x,y,z'
'-x,-y,z+1/2'
'x,-y,-z'
'-x,y,-z+1/2'
'x+1/2,y+1/2,z'
'-x+1/2,-y+1/2,z+1/2'
'x+1/2,-y+1/2,-z'
'-x+1/2,y+1/2,-z+1/2'
loop_
_atom_site_label
_atom_site_fract_x
_atom_site_fract_y
_atom_site_fract_z
Dy1 0.0490 0.0000 0.0000
Dy2 0.2308 0.2718 0.7618
V1 0.0063 0.5000 0.0000
O1 0.0000 0.1293 0.2500
O2 0.0000 0.1399 0.7500
O3 0.0000 0.4398 0.7500
O4 0.1659 0.3747 0.0466
O5 0.1986 0.3772 0.4782
```

Principal peaks in the range 15° ≤ 2θ ≤ 90°, low angle first:
h k l	2theta	I/Imax
1 3 0	28.43	12
2 2 0	29.30	97
0 2 2	29.88	100
2 0 2	34.17	43
0 4 0	34.56	20
2 4 1	44.16	12
4 0 0	48.34	9
2 4 2	49.39	49
0 0 4	49.85	17
4 2 2	57.87	16
2 2 4	58.88	25
0 6 2	59.07	13